No. 1
Structure and theoretical powder diffraction line list of La4Pr2DyHo (the PBE geometry in Alexandria; Cu Kα, 1.54184 Å).
Lines closer than 0.1° are merged.

Atomic structure:
a = 5.2218 Å, b = 5.2595 Å, c = 10.2776 Å
α = 90.00°, β = 90.09°, γ = 90.00°
Sites, in units of the cell vectors:
1 La 0.9999 0.0000 0.2493
2 La 0.0001 0.0000 0.7507
3 La 0.4995 0.5000 0.7499
4 La 0.5005 0.5000 0.2501
5 Pr 0.0000 0.5000 0.0000
6 Pr 0.5000 0.0000 0.5000
7 Dy 0.0000 0.5000 0.5000
8 Ho 0.5000 0.0000 0.0000

Top 12 peaks for 2θ from 10° to 80°, low angle first:
2θ/deg, I_rel
29.72, 1000
34.09, 174
34.35, 171
34.92, 163
49.17, 124
49.60, 121
49.79, 119
58.35, 148
58.69, 146
59.45, 140
61.72, 125
79.87, 60

No. 2
Structure and theoretical powder diffraction line list of La2PrDy2Ho (the PBE geometry in Alexandria; Cu Kα, 1.54184 Å).
Lines closer than 0.1° are merged.

Atomic structure:
a = 7.1457 Å, b = 5.7526 Å, c = 9.9421 Å
α = 90.00°, β = 90.00°, γ = 90.00°
Sites, in units of the cell vectors:
1 La 0.0000 0.0000 0.0000
2 La 0.2500 0.5000 0.1773
3 La 0.5000 0.0000 0.0000
4 La 0.7500 0.5000 0.8227
5 Pr 0.2500 0.0000 0.6590
6 Pr 0.7500 0.0000 0.3410
7 Dy 0.2500 0.0000 0.3334
8 Dy 0.2500 0.5000 0.8342
9 Dy 0.7500 0.0000 0.6666
10 Dy 0.7500 0.5000 0.1658
11 Ho 0.0000 0.5000 0.5000
12 Ho 0.5000 0.5000 0.5000

Top 12 peaks for 2θ from 10° to 80°, low angle first:
2θ/deg, I_rel
24.92, 66
30.81, 918
31.13, 1000
40.28, 109
44.36, 336
51.13, 84
55.19, 352
55.39, 194
61.08, 293
64.95, 78
73.53, 101
78.72, 139

No. 3
Structure and theoretical powder diffraction line list of LaPr2Dy5Ho (the PBE geometry in Alexandria; Cu Kα, 1.54184 Å).
Lines closer than 0.1° are merged.

Atomic structure:
a = 10.0002 Å, b = 10.0002 Å, c = 10.0002 Å
α = 127.99°, β = 127.99°, γ = 76.64°
Sites, in units of the cell vectors:
1 La 0.2500 0.2500 0.0000
2 La 0.7500 0.7500 0.0000
3 Pr 0.1180 0.6180 0.7359
4 Pr 0.3820 0.1180 0.5000
5 Pr 0.6180 0.8820 0.5000
6 Pr 0.8820 0.3820 0.2641
7 Dy 0.0000 0.0000 0.0000
8 Dy 0.0721 0.1522 0.5000
9 Dy 0.1522 0.6522 0.0801
10 Dy 0.3478 0.4279 0.5000
11 Dy 0.4279 0.9279 0.0801
12 Dy 0.5000 0.5000 0.0000
13 Dy 0.5721 0.0721 0.9199
14 Dy 0.6522 0.5721 0.5000
15 Dy 0.8478 0.3478 0.9199
16 Dy 0.9279 0.8478 0.5000
17 Ho 0.2500 0.7500 0.5000
18 Ho 0.7500 0.2500 0.5000

Top 12 peaks for 2θ from 10° to 80°, low angle first:
2θ/deg, I_rel
28.45, 466
28.80, 513
30.58, 1000
32.28, 115
34.30, 160
36.68, 109
37.42, 155
42.87, 194
46.07, 108
46.29, 128
52.15, 226
55.43, 133

No. 4
Structure and theoretical powder diffraction line list of La2PrDy4Ho (the PBE geometry in Alexandria; Cu Kα, 1.54184 Å).
Lines closer than 0.1° are merged.

Atomic structure:
a = 7.2684 Å, b = 10.0979 Å, c = 7.2765 Å
α = 90.00°, β = 90.07°, γ = 90.00°
Sites, in units of the cell vectors:
1 La 0.0000 0.0000 0.0000
2 La 0.0000 0.0000 0.5000
3 La 0.0000 0.5000 0.0000
4 La 0.5000 0.0000 0.0000
5 Pr 0.5000 0.0000 0.5000
6 Pr 0.5000 0.5000 0.0000
7 Dy 0.2503 0.2541 0.7463
8 Dy 0.2503 0.7459 0.7463
9 Dy 0.2512 0.2542 0.2539
10 Dy 0.2512 0.7458 0.2539
11 Dy 0.7488 0.2542 0.7461
12 Dy 0.7488 0.7458 0.7461
13 Dy 0.7497 0.2541 0.2537
14 Dy 0.7497 0.7459 0.2537
15 Ho 0.0000 0.5000 0.5000
16 Ho 0.5000 0.5000 0.5000

Top 12 peaks for 2θ from 10° to 80°, low angle first:
2θ/deg, I_rel
30.29, 1000
34.89, 344
35.56, 163
50.18, 123
50.68, 238
59.73, 218
59.79, 73
60.63, 138
63.01, 123
73.64, 20
73.75, 19
75.29, 18

No. 5
Structure and theoretical powder diffraction line list of La5PrDy2Ho (the PBE geometry in Alexandria; Cu Kα, 1.54184 Å).
Lines closer than 0.1° are merged.

Atomic structure:
a = 11.8918 Å, b = 11.8918 Å, c = 11.8918 Å
α = 141.10°, β = 141.10°, γ = 56.19°
Sites, in units of the cell vectors:
1 La 0.0000 0.0000 0.0000
2 La 0.0723 0.5723 0.9006
3 La 0.1717 0.0723 0.5000
4 La 0.3283 0.8283 0.9006
5 La 0.4277 0.3283 0.5000
6 La 0.5000 0.5000 0.0000
7 La 0.5723 0.6717 0.5000
8 La 0.6717 0.1717 0.0994
9 La 0.8283 0.9277 0.5000
10 La 0.9277 0.4277 0.0994
11 Pr 0.2500 0.2500 0.0000
12 Pr 0.7500 0.7500 0.0000
13 Dy 0.1304 0.3696 0.5000
14 Dy 0.3696 0.8696 0.2392
15 Dy 0.6304 0.1304 0.7608
16 Dy 0.8696 0.6304 0.5000
17 Ho 0.2500 0.7500 0.5000
18 Ho 0.7500 0.2500 0.5000

Top 12 peaks for 2θ from 10° to 80°, low angle first:
2θ/deg, I_rel
28.24, 1000
31.96, 200
33.10, 225
34.19, 249
35.86, 81
36.90, 87
41.33, 73
47.51, 171
49.19, 62
50.38, 61
54.68, 171
57.64, 106

No. 6
Structure and theoretical powder diffraction line list of LaPr2DyHo4 (the PBE geometry in Alexandria; Cu Kα, 1.54184 Å).
Lines closer than 0.1° are merged.

Atomic structure:
a = 9.5557 Å, b = 9.5557 Å, c = 9.5557 Å
α = 138.14°, β = 102.87°, γ = 91.86°
Sites, in units of the cell vectors:
1 La 0.0000 0.0000 0.0000
2 La 0.5000 0.0000 0.5000
3 Pr 0.0000 0.5000 0.5000
4 Pr 0.5000 0.0000 0.0000
5 Pr 0.5000 0.5000 0.0000
6 Pr 0.5000 0.5000 0.5000
7 Dy 0.0000 0.0000 0.5000
8 Dy 0.0000 0.5000 0.0000
9 Ho 0.2449 0.2461 0.5012
10 Ho 0.2451 0.2497 0.9954
11 Ho 0.2449 0.7437 0.9988
12 Ho 0.2457 0.7503 0.4954
13 Ho 0.7543 0.2497 0.5046
14 Ho 0.7551 0.2563 0.0012
15 Ho 0.7549 0.7503 0.0046
16 Ho 0.7551 0.7539 0.4988

Top 12 peaks for 2θ from 10° to 80°, low angle first:
2θ/deg, I_rel
26.83, 673
30.00, 506
30.18, 1000
40.68, 443
40.81, 881
53.38, 202
53.71, 100
60.73, 272
61.03, 135
62.74, 124
64.25, 342
69.49, 182